Starting from a GGA-PBE-relaxed structure, the powder XRD pattern of K2Pu2O7 was computed for CuKα.
No peak broadening, texture or thermal motion is included.

Top 10 peaks for 2θ = 15–90°, sorted by position:
2θ (°)  I/Imax
15.34  555
22.20  451
25.81  331
26.94  1000
27.26  974
30.97  546
32.22  246
45.30  555
52.49  338
53.05  338

Structure:
```
K2Pu2O7
1.0
-4.046 5.557 4.121
4.046 -5.557 4.121
4.046 5.557 -4.121
K Pu O
4 4 14
Cartesian
0.000 0.000 0.000 K
-2.023 2.778 2.061 K
0.000 5.557 0.000 K
2.023 2.778 2.061 K
2.023 2.778 -2.061 Pu
2.023 -2.778 2.061 Pu
4.046 0.000 0.000 Pu
0.000 0.000 4.121 Pu
2.416 1.350 -0.661 O
5.676 1.350 -0.661 O
4.046 -2.778 2.721 O
4.046 0.910 1.623 O
2.416 4.207 -0.661 O
1.630 -1.350 3.460 O
0.000 0.910 2.498 O
4.046 4.647 1.623 O
2.416 6.906 0.661 O
1.630 1.350 4.782 O
0.000 4.647 2.498 O
0.000 8.335 1.400 O
-1.630 4.207 4.782 O
1.630 4.207 4.782 O
```